(1)
The following is a simulated powder diffractogram of AgIrCl. It was derived from DFT lattice parameters and positions (PBE), using Cu Kα X-rays.
No peak broadening, texture or thermal motion is included.

Top 12 peaks for 10° ≤ 2θ ≤ 90°, sorted by position:
- hkl 0 0 2, 16.1 deg, I = 31
- hkl 0 0 3, 24.2 deg, I = 20
- hkl 0 1 3, 37.6 deg, I = 33
- hkl 0 1 -4, 37.9 deg, I = 33
- hkl 1 -1 0, 38.2 deg, I = 100
- hkl 1 1 0, 39.1 deg, I = 40
- hkl 1 0 3, 40.8 deg, I = 26
- hkl 1 0 -4, 41.2 deg, I = 26
- hkl 0 1 4, 44.4 deg, I = 17
- hkl 0 1 -5, 44.7 deg, I = 16
- hkl 0 2 -1, 49.9 deg, I = 23
- hkl 2 0 -1, 60.1 deg, I = 17

Atomic structure:
abc: 3.0809 3.6554 11.2448
angles: 98.95 97.43 90.00
Space group P1 (No. 1)
Symmetry-distinct sites (fractional):
Ag: 0.0000 0.0000 0.0000 x1
Ag: 0.4334 0.4325 0.8588 x1
Ir: 0.1170 0.1183 0.2475 x1
Ir: 0.5736 0.5743 0.1556 x1
Cl: 0.2116 0.2141 0.4483 x1
Cl: 0.8776 0.8753 0.7395 x1

=====

(2)
The following is a simulated powder diffractogram of AgIrCl. It was derived from DFT lattice parameters and positions (PBE), using Cu Kα X-rays.
No peak broadening, texture or thermal motion is included.

Top 12 peaks for 10° ≤ 2θ ≤ 90°, sorted by position:
- hkl 0 0 2, 15.4 deg, I = 38
- hkl 0 1 3, 35.2 deg, I = 92
- hkl 1 0 2, 36.5 deg, I = 17
- hkl 1 0 -3, 36.7 deg, I = 18
- hkl 1 1 0, 40.9 deg, I = 100
- hkl 0 1 4, 41.0 deg, I = 47
- hkl 1 0 3, 41.4 deg, I = 30
- hkl 1 0 -4, 41.6 deg, I = 29
- hkl 0 2 0, 53.6 deg, I = 18
- hkl 0 0 7, 56.1 deg, I = 15
- hkl 1 2 3, 69.9 deg, I = 13
- hkl 2 1 -4, 75.4 deg, I = 15

Atomic structure:
abc: 2.9060 3.4193 11.5690
angles: 90.00 96.94 90.00
Space group Pm (No. 6)
Symmetry-distinct sites (fractional):
Ag: 0.0000 0.0000 0.0000 x1
Ag: 0.4222 0.5000 0.8377 x1
Ir: 0.1336 0.0000 0.2780 x1
Ir: 0.5745 0.5000 0.1551 x1
Cl: 0.2020 0.5000 0.4202 x1
Cl: 0.8550 0.0000 0.6977 x1